No. 1
For Th3Sb2H2, a cell relaxed with PBE gives the calculated powder XRD pattern in this record (a wavelength of 1.5418 Å).

Structural model:
a = 6.3452 Å, b = 7.2594 Å, c = 8.0854 Å
α = 90.00°, β = 116.78°, γ = 90.00°
Element x y z (fractional)
Th: 0.0000 0.0000 0.0000
Th: 0.0000 0.5000 0.5000
Th: 0.3454 0.0850 0.7481
Th: 0.3454 0.4150 0.2481
Th: 0.6546 0.5850 0.7519
Th: 0.6546 0.9150 0.2519
Sb: 0.2395 0.6703 0.8984
Sb: 0.2395 0.8297 0.3984
Sb: 0.7605 0.1703 0.6016
Sb: 0.7605 0.3297 0.1016
H: 0.3554 0.1375 0.0716
H: 0.3554 0.3625 0.5716
H: 0.6446 0.6375 0.4284
H: 0.6446 0.8625 0.9284

Largest 6 diffraction maxima, by intensity, 2θ = 5–70°:
2θ (°)  I_rel
30.8  100
27.5  88
27.0  65
35.5  61
33.5  38
35.0  38

No. 2
For Th4Sb3H, a cell relaxed with PBE gives the calculated powder XRD pattern in this record (a wavelength of 1.5418 Å).

Structural model:
a = 7.1170 Å, b = 7.1170 Å, c = 7.1170 Å
α = 124.56°, β = 79.77°, γ = 127.62°
Element x y z (fractional)
Th: 0.2377 0.0000 0.2377
Th: 0.2756 0.0230 0.7474
Th: 0.2756 0.5282 0.2526
Th: 0.7623 0.0000 0.7623
Sb: 0.2853 0.5102 0.7751
Sb: 0.7351 0.5102 0.2249
Sb: 0.7526 0.2526 0.5000
H: 0.0117 0.0117 0.0000

Largest 6 diffraction maxima, by intensity, 2θ = 5–70°:
2θ (°)  I_rel
32.9  100
31.6  82
39.5  45
52.3  30
66.0  27
16.3  27

No. 3
For Ti6Sb3H, a cell relaxed with PBE gives the calculated powder XRD pattern in this record (a wavelength of 1.5418 Å).

Structural model:
a = 8.7218 Å, b = 8.7218 Å, c = 4.4922 Å
α = 90.00°, β = 90.00°, γ = 103.03°
Element x y z (fractional)
Ti: 0.0668 0.9332 0.5000
Ti: 0.0719 0.5944 0.5029
Ti: 0.2621 0.4049 0.0013
Ti: 0.2623 0.7377 0.0068
Ti: 0.4049 0.2621 0.5013
Ti: 0.4056 0.9281 0.5029
Ti: 0.5944 0.0719 0.0029
Ti: 0.5951 0.7379 0.0013
Ti: 0.7377 0.2623 0.5068
Ti: 0.7379 0.5951 0.5013
Ti: 0.9281 0.4056 0.0029
Ti: 0.9332 0.0668 0.0000
Sb: 0.0676 0.2690 0.4972
Sb: 0.2690 0.0676 0.9972
Sb: 0.4018 0.5982 0.5036
Sb: 0.5982 0.4018 0.0036
Sb: 0.7310 0.9324 0.4972
Sb: 0.9324 0.7310 0.9972
H: 0.2022 0.7978 0.4046
H: 0.7978 0.2022 0.9046

Largest 6 diffraction maxima, by intensity, 2θ = 5–70°:
2θ (°)  I_rel
37.5  100
40.1  22
23.7  19
39.6  17
57.7  12
50.4  11

No. 4
For Ti8Sb2H3, a cell relaxed with PBE gives the calculated powder XRD pattern in this record (a wavelength of 1.5418 Å).

Structural model:
a = 4.0438 Å, b = 4.0438 Å, c = 11.3011 Å
α = 90.00°, β = 90.00°, γ = 90.00°
Element x y z (fractional)
Ti: 0.0000 0.0000 0.1939
Ti: 0.0000 0.0000 0.8061
Ti: 0.0000 0.5000 0.0000
Ti: 0.0000 0.5000 0.3785
Ti: 0.0000 0.5000 0.6215
Ti: 0.5000 0.0000 0.0000
Ti: 0.5000 0.0000 0.3785
Ti: 0.5000 0.0000 0.6215
Sb: 0.5000 0.5000 0.1877
Sb: 0.5000 0.5000 0.8123
H: 0.0000 0.0000 0.0000
H: 0.0000 0.0000 0.3602
H: 0.0000 0.0000 0.6398

Largest 6 diffraction maxima, by intensity, 2θ = 5–70°:
2θ (°)  I_rel
39.6  100
35.2  62
44.8  49
61.5  29
39.9  28
7.8  28

No. 5
For Ti3SbH, a cell relaxed with PBE gives the calculated powder XRD pattern in this record (a wavelength of 1.5418 Å).

Structural model:
a = 7.0883 Å, b = 7.0883 Å, c = 7.0279 Å
α = 109.44°, β = 109.44°, γ = 77.03°
Element x y z (fractional)
Ti: 0.0279 0.6019 0.3912
Ti: 0.0324 0.2007 0.1759
Ti: 0.2007 0.0324 0.6759
Ti: 0.2442 0.4039 0.0073
Ti: 0.3981 0.9721 0.1088
Ti: 0.4039 0.2442 0.5073
Ti: 0.5961 0.7558 0.4927
Ti: 0.6019 0.0279 0.8912
Ti: 0.7558 0.5961 0.9927
Ti: 0.7993 0.9676 0.3241
Ti: 0.9676 0.7993 0.8241
Ti: 0.9721 0.3981 0.6088
Sb: 0.1763 0.8237 0.2500
Sb: 0.3513 0.6487 0.7500
Sb: 0.6487 0.3513 0.2500
Sb: 0.8237 0.1763 0.7500
H: 0.2221 0.3830 0.2760
H: 0.3830 0.2221 0.7760
H: 0.6170 0.7779 0.2240
H: 0.7779 0.6170 0.7240

Largest 6 diffraction maxima, by intensity, 2θ = 5–70°:
2θ (°)  I_rel
38.3  100
36.3  68
39.5  59
43.7  55
33.8  52
24.5  50

No. 6
For Ti4SbH2, a cell relaxed with PBE gives the calculated powder XRD pattern in this record (a wavelength of 1.5418 Å).

Structural model:
a = 5.7215 Å, b = 5.7215 Å, c = 7.2203 Å
α = 103.04°, β = 103.04°, γ = 115.43°
Element x y z (fractional)
Ti: 0.0508 0.9492 0.5000
Ti: 0.2013 0.6002 0.8004
Ti: 0.5399 0.6569 0.1972
Ti: 0.6002 0.2013 0.3004
Ti: 0.6085 0.9926 0.6032
Ti: 0.6569 0.5399 0.6972
Ti: 0.9492 0.0508 0.0000
Ti: 0.9926 0.6085 0.1032
Sb: 0.1863 0.4359 0.4002
Sb: 0.4359 0.1863 0.9002
H: 0.3467 0.8159 0.0906
H: 0.8159 0.3467 0.5906
H: 0.8748 0.9070 0.7099
H: 0.9070 0.8748 0.2099

Largest 6 diffraction maxima, by intensity, 2θ = 5–70°:
2θ (°)  I_rel
38.6  100
37.7  78
34.7  61
18.5  47
22.9  45
32.1  42

No. 7
For Ti3SbH, a cell relaxed with PBE gives the calculated powder XRD pattern in this record (a wavelength of 1.5418 Å).

Structural model:
a = 5.7934 Å, b = 5.7934 Å, c = 4.7668 Å
α = 90.00°, β = 90.00°, γ = 115.57°
Element x y z (fractional)
Ti: 0.1398 0.8602 0.7500
Ti: 0.1621 0.3662 0.7517
Ti: 0.3662 0.1621 0.2483
Ti: 0.6338 0.8379 0.7483
Ti: 0.8379 0.6338 0.2517
Ti: 0.8602 0.1398 0.2500
Sb: 0.3366 0.6634 0.2500
Sb: 0.6634 0.3366 0.7500
H: 0.0852 0.0852 0.5000
H: 0.9148 0.9148 0.0000

Largest 6 diffraction maxima, by intensity, 2θ = 5–70°:
2θ (°)  I_rel
39.3  100
37.7  33
41.4  21
25.3  21
36.7  19
69.2  17

No. 8
For Tl3Sb2H2, a cell relaxed with PBE gives the calculated powder XRD pattern in this record (a wavelength of 1.5418 Å).

Structural model:
a = 5.5648 Å, b = 6.2210 Å, c = 6.4312 Å
α = 67.09°, β = 64.57°, γ = 63.69°
Element x y z (fractional)
Tl: 0.0000 0.0000 0.0000
Tl: 0.1837 0.2652 0.3690
Tl: 0.8163 0.7348 0.6310
Sb: 0.4642 0.3284 0.7427
Sb: 0.5358 0.6716 0.2573
H: 0.2655 0.6141 0.8382
H: 0.7345 0.3859 0.1618

Largest 6 diffraction maxima, by intensity, 2θ = 5–70°:
2θ (°)  I_rel
31.5  100
32.2  67
28.9  51
29.0  50
32.0  37
56.9  19

No. 9
For Tl7SbH12, a cell relaxed with PBE gives the calculated powder XRD pattern in this record (a wavelength of 1.5418 Å).

Structural model:
a = 4.6055 Å, b = 7.7805 Å, c = 10.9167 Å
α = 107.96°, β = 90.40°, γ = 90.48°
Element x y z (fractional)
Tl: 0.0000 0.0000 0.0000
Tl: 0.0008 0.4336 0.1175
Tl: 0.0037 0.8936 0.3089
Tl: 0.0069 0.3794 0.4404
Tl: 0.4999 0.7296 0.0715
Tl: 0.5063 0.6338 0.3832
Tl: 0.5070 0.1210 0.5149
Sb: 0.5030 0.1723 0.2215
H: 0.0014 0.8393 0.6251
H: 0.0020 0.2244 0.8027
H: 0.0093 0.8579 0.6971
H: 0.0104 0.2031 0.7306
H: 0.0137 0.5361 0.7430
H: 0.0146 0.5890 0.8136
H: 0.5011 0.0826 0.8396
H: 0.5017 0.0252 0.7701
H: 0.5069 0.3784 0.7720
H: 0.5081 0.6699 0.6801
H: 0.5159 0.4177 0.8444
H: 0.5174 0.7081 0.7524

Largest 6 diffraction maxima, by intensity, 2θ = 5–70°:
2θ (°)  I_rel
8.5  100
31.7  42
31.5  27
31.2  18
30.8  18
34.0  15

No. 10
For Tl5SbH4, a cell relaxed with PBE gives the calculated powder XRD pattern in this record (a wavelength of 1.5418 Å).

Structural model:
a = 6.0742 Å, b = 6.4083 Å, c = 6.4607 Å
α = 71.18°, β = 71.14°, γ = 73.69°
Element x y z (fractional)
Tl: 0.0000 0.0000 0.0000
Tl: 0.1073 0.5546 0.6096
Tl: 0.3576 0.1352 0.2414
Tl: 0.5958 0.9770 0.7033
Tl: 0.7940 0.4959 0.2163
Sb: 0.5710 0.4678 0.7483
H: 0.0920 0.6776 0.2877
H: 0.6079 0.8660 0.1090
H: 0.6868 0.1209 0.3058
H: 0.9629 0.8663 0.6869

Largest 6 diffraction maxima, by intensity, 2θ = 5–70°:
2θ (°)  I_rel
31.5  100
28.4  93
30.0  93
30.3  79
29.1  66
28.6  64